[1]
Computed XRD peak list
Compound: BaLaMnMoO6
Radiation: Cu Kα (λ = 1.5418 Å)
Structure: the PBE+U geometry in Alexandria

Most intense lines, 2θ from 5° to 70°, low angle first:
18.71°, d = 4.744 Å, rel. 3
21.63°, d = 4.108 Å, rel. 4
30.78°, d = 2.905 Å, rel. 100
36.26°, d = 2.477 Å, rel. 1
37.93°, d = 2.372 Å, rel. 11
44.09°, d = 2.054 Å, rel. 32
49.62°, d = 1.837 Å, rel. 3
54.73°, d = 1.677 Å, rel. 39
64.11°, d = 1.452 Å, rel. 19
68.52°, d = 1.369 Å, rel. 2

Cell and atoms:
Cell: 5.8099 5.8099 5.8099 Å, 60.00 60.00 60.00°
Element x y z (fractional)
Ba  0.0000  0.0000  0.0000
La  0.5000  0.5000  0.5000
Mn  0.7500  0.7500  0.7500
Mo  0.2500  0.2500  0.2500
O  0.0083  0.0083  0.4917
O  0.0083  0.4917  0.0083
O  0.0083  0.4917  0.4917
O  0.4917  0.0083  0.0083
O  0.4917  0.0083  0.4917
O  0.4917  0.4917  0.0083


[2]
Computed XRD peak list
Compound: BaLaMnO4
Radiation: Cu Kα (λ = 1.5418 Å)
Structure: the PBE+U geometry in Alexandria

Most intense lines, 2θ from 5° to 70°, low angle first:
23.29°, d = 3.820 Å, rel. 25
27.30°, d = 3.267 Å, rel. 14
30.36°, d = 2.944 Å, rel. 100
31.68°, d = 2.824 Å, rel. 69
41.28°, d = 2.187 Å, rel. 12
42.30°, d = 2.137 Å, rel. 32
45.41°, d = 1.997 Å, rel. 35
53.10°, d = 1.725 Å, rel. 14
55.61°, d = 1.653 Å, rel. 37
66.14°, d = 1.413 Å, rel. 16

Cell and atoms:
Cell: 7.1186 7.1186 7.1186 Å, 147.41 147.41 46.75°
Element x y z (fractional)
Ba  0.0000  0.0000  0.0000
La  0.7161  0.7161  0.0000
Mn  0.3523  0.3523  0.0000
O  0.1953  0.1953  0.0000
O  0.3441  0.8441  0.5000
O  0.5354  0.5354  0.0000
O  0.8441  0.3441  0.5000


[3]
Computed XRD peak list
Compound: BaLaPrMn3O9
Radiation: Cu Kα (λ = 1.5418 Å)
Structure: the PBE+U geometry in Alexandria

Most intense lines, 2θ from 5° to 70°, low angle first:
22.45°, d = 3.960 Å, rel. 31
31.77°, d = 2.816 Å, rel. 99
32.15°, d = 2.784 Å, rel. 100
39.26°, d = 2.295 Å, rel. 27
45.83°, d = 1.980 Å, rel. 62
56.61°, d = 1.626 Å, rel. 22
56.84°, d = 1.620 Å, rel. 40
57.55°, d = 1.602 Å, rel. 19
66.39°, d = 1.408 Å, rel. 17
67.25°, d = 1.392 Å, rel. 18

Cell and atoms:
Cell: 5.6324 5.6324 13.5642 Å, 90.00 90.00 120.00°
Element x y z (fractional)
Ba  0.0000  0.0000  0.0000
Ba  0.0000  0.0000  0.5000
La  0.3333  0.6667  0.1684
La  0.6667  0.3333  0.8316
Pr  0.3333  0.6667  0.6683
Pr  0.6667  0.3333  0.3317
Mn  0.0000  0.0000  0.2507
Mn  0.0000  0.0000  0.7493
Mn  0.3333  0.6667  0.4172
Mn  0.3333  0.6667  0.9167
Mn  0.6667  0.3333  0.0833
Mn  0.6667  0.3333  0.5828
O  0.0000  0.4770  0.0000
O  0.0000  0.5252  0.5000
O  0.1063  0.3419  0.3273
O  0.1107  0.7683  0.8259
O  0.2317  0.3425  0.8259
O  0.2355  0.8937  0.3273
O  0.3419  0.1063  0.6727
O  0.3425  0.2317  0.1741
O  0.4748  0.4748  0.5000
O  0.4770  0.0000  0.0000
O  0.5230  0.5230  0.0000
O  0.5252  0.0000  0.5000
O  0.6581  0.7645  0.3273
O  0.6575  0.8893  0.8259
O  0.7645  0.6581  0.6727
O  0.7683  0.1107  0.1741
O  0.8893  0.6575  0.1741
O  0.8937  0.2355  0.6727